# KNpCuS3
Theoretical powder XRD pattern, a wavelength of 1.5418 Å. Input: DFT lattice parameters and positions (PBE).
Lines closer than 0.1° are merged.

Largest 6 diffraction maxima, sorted by position, 2θ from 10° to 90°:
2theta, Rel. int., hkl
12.69, 100, 0 2 0
21.60, 26, 0 2 2
29.21, 42, 1 1 2
29.56, 21, 1 3 0
34.51, 44, 1 3 2
43.42, 26, 1 5 2

```
data_KNpCuS3
_chemical_formula_sum 'K4 Np4 Cu4 S12'
_symmetry_space_group_name_H-M 'C m c m'
_symmetry_Int_Tables_number 63
_symmetry_space_group_name_Hall '-C 2c 2'
_cell_length_a 3.9750
_cell_length_b 13.9497
_cell_length_c 10.1904
_cell_angle_alpha 90.00
_cell_angle_beta 90.00
_cell_angle_gamma 90.00
loop_
_atom_site_label
_atom_site_type_symbol
_atom_site_fract_x
_atom_site_fract_y
_atom_site_fract_z
K1 K 0.0000 0.2430 0.2500
Np1 Np 0.0000 0.5000 0.0000
Cu1 Cu 0.0000 0.0342 0.7500
S1 S 0.0000 0.1236 0.5607
S2 S 0.0000 0.4390 0.7500
```

# K2CuO2
Theoretical powder XRD pattern, a wavelength of 1.5418 Å. Input: DFT lattice parameters and positions (PBE).
Lines closer than 0.1° are merged.

Largest 6 diffraction maxima, sorted by position, 2θ from 10° to 90°:
2theta, Rel. int., hkl
22.80, 100, 1 0 1
34.53, 34, 1 0 3
35.00, 94, 1 1 2
36.50, 51, 0 0 4
42.58, 63, 2 0 0
57.30, 46, 2 0 4

```
data_K2CuO2
_chemical_formula_sum 'K4 Cu2 O4'
_symmetry_space_group_name_H-M 'I 4/m m m'
_symmetry_Int_Tables_number 139
_symmetry_space_group_name_Hall '-I 4 2'
_cell_length_a 4.2468
_cell_length_b 4.2468
_cell_length_c 9.8477
_cell_angle_alpha 90.00
_cell_angle_beta 90.00
_cell_angle_gamma 90.00
loop_
_atom_site_label
_atom_site_type_symbol
_atom_site_fract_x
_atom_site_fract_y
_atom_site_fract_z
K1 K 0.0000 0.5000 0.2500
Cu1 Cu 0.0000 0.0000 0.0000
O1 O 0.0000 0.5000 0.0000
```

# K3CuO2
Theoretical powder XRD pattern, a wavelength of 1.5418 Å. Input: DFT lattice parameters and positions (PBE).
Lines closer than 0.1° are merged.

Largest 6 diffraction maxima, sorted by position, 2θ from 10° to 90°:
2theta, Rel. int., hkl
29.12, 50, 2 2 0
30.43, 41, 2 1 3
33.66, 100, 2 0 4
34.81, 34, 1 0 5
36.96, 23, 3 0 3
41.65, 23, 4 0 0

```
data_K3CuO2
_chemical_formula_sum 'K24 Cu8 O16'
_symmetry_space_group_name_H-M 'P 41 21 2'
_symmetry_Int_Tables_number 92
_cell_length_a 8.6737
_cell_length_b 8.6737
_cell_length_c 13.4969
_cell_angle_alpha 90.00
_cell_angle_beta 90.00
_cell_angle_gamma 90.00
loop_
_symmetry_equiv_pos_as_xyz
'x,y,z'
'-y+1/2,x+1/2,z+1/4'
'-x,-y,z+1/2'
'y+1/2,-x+1/2,z+3/4'
'x+1/2,-y+1/2,-z+3/4'
'-y,-x,-z+1/2'
'-x+1/2,y+1/2,-z+1/4'
'y,x,-z'
loop_
_atom_site_label
_atom_site_type_symbol
_atom_site_fract_x
_atom_site_fract_y
_atom_site_fract_z
K1 K 0.0244 0.0244 0.0000
K2 K 0.0348 0.4361 0.0013
K3 K 0.0563 0.9437 0.2500
K4 K 0.1540 0.7350 0.8573
Cu1 Cu 0.2357 0.2360 0.1657
O1 O 0.0258 0.2370 0.1668
O2 O 0.0549 0.7327 0.0798
```